Calculated XRD peak list
Compound: Li2CuPO4
Radiation: Cu Kα, 1.54184 Å
Structure: a PBE-relaxed structure
Kinematic intensities with the Lorentz-polarization factor, no thermal factor.

Top 10 peaks for 2θ from 5° to 70°, by angle:
index	two_theta	I/Imax
0 1 1	16.76	60
1 1 0	21.84	63
0 1 2	22.73	100
-1 1 1	23.51	45
1 -1 2	28.12	44
1 -2 0	33.17	96
0 0 4	35.67	84
2 0 -2	37.80	82
1 2 -2	37.93	45
0 4 0	59.45	47

Cell and atoms:
Lattice parameters (Å, degrees): 5.404 6.218 10.068 90.10 90.02 90.28
Atoms (fractional coordinates):
Li  0.000  0.000  0.000
Li  0.000  0.002  0.500
Li  0.172  0.753  0.250
Li  0.174  0.754  0.750
Li  0.517  0.749  0.499
Li  0.518  0.252  0.999
Li  0.690  0.499  0.250
Li  0.690  0.500  0.750
Cu  0.176  0.244  0.752
Cu  0.183  0.244  0.251
Cu  0.509  0.259  0.500
Cu  0.510  0.742  0.003
P  0.017  0.501  0.003
P  0.017  0.510  0.503
P  0.673  0.995  0.253
P  0.673  0.997  0.753
O  0.014  0.512  0.158
O  0.014  0.513  0.658
O  0.140  0.294  0.456
O  0.143  0.708  0.946
O  0.162  0.295  0.960
O  0.162  0.708  0.450
O  0.526  0.790  0.208
O  0.529  0.797  0.701
O  0.548  0.211  0.706
O  0.549  0.203  0.198
O  0.676  0.004  0.908
O  0.676  0.995  0.408
O  0.747  0.487  0.949
O  0.747  0.516  0.448
O  0.943  0.986  0.198
O  0.943  0.989  0.698